No. 1
# Ba8Ga7
Calculated X-ray diffraction stick pattern, CuKα. Input: a structure optimized by DFT (GGA-PBE).

Peak list (8 most intense, 5 to 70 degrees two-theta, low angle first)
23.55 deg, intensity 33
25.47 deg, intensity 70
28.11 deg, intensity 100
28.95 deg, intensity 76
34.96 deg, intensity 49
36.99 deg, intensity 42
44.32 deg, intensity 32
46.55 deg, intensity 33

Cell: 13.086 13.086 13.086 Å, 90.00 90.00 90.00°
Space group P2_13 (No. 198)
Unique sites:
Ba 0.001 0.202 0.943 x12
Ba 0.020 0.203 0.438 x12
Ba 0.187 0.687 0.813 x4
Ba 0.188 0.812 0.312 x4
Ga 0.068 0.432 0.568 x4
Ga 0.076 0.260 0.694 x12
Ga 0.082 0.247 0.187 x12

No. 2
# SiO2
Calculated X-ray diffraction stick pattern, CuKα. Input: a structure optimized by DFT (GGA-PBE).

Peak list (8 most intense, 5 to 70 degrees two-theta, low angle first)
14.51 deg, intensity 27
17.68 deg, intensity 62
18.48 deg, intensity 100
21.48 deg, intensity 29
26.01 deg, intensity 19
26.71 deg, intensity 54
28.31 deg, intensity 20
37.47 deg, intensity 23

Cell: 7.047 8.275 6.824 Å, 90.00 116.53 90.00°
Space group C2 (No. 5)
Unique sites:
Si 0.108 0.000 0.371 x4
Si 0.205 0.316 0.220 x4
O 0.000 0.106 0.500 x2
O 0.000 0.374 0.000 x2
O 0.077 0.873 0.792 x4
O 0.196 0.119 0.241 x4
O 0.200 0.397 0.438 x4

No. 3
# Fe2Mo4C
Calculated X-ray diffraction stick pattern, CuKα. Input: a structure optimized by DFT (GGA-PBE).

Peak list (8 most intense, 5 to 70 degrees two-theta, low angle first)
34.49 deg, intensity 27
38.92 deg, intensity 41
41.39 deg, intensity 100
45.25 deg, intensity 31
48.16 deg, intensity 6
53.63 deg, intensity 9
62.98 deg, intensity 4
67.65 deg, intensity 9

Cell: 11.336 11.336 11.336 Å, 90.00 90.00 90.00°
Space group Fd-3m (No. 227, origin choice 2)
Unique sites:
Fe 0.044 0.044 0.206 x32
Mo 0.000 0.000 0.000 x16
Mo 0.064 0.375 0.875 x48
C 0.000 0.000 0.500 x16

No. 4
# K2BP2O8
Calculated X-ray diffraction stick pattern, CuKα. Input: a structure optimized by DFT (GGA-PBE).

Peak list (8 most intense, 5 to 70 degrees two-theta, low angle first)
13.49 deg, intensity 31
20.97 deg, intensity 38
24.28 deg, intensity 100
27.84 deg, intensity 87
32.88 deg, intensity 40
34.59 deg, intensity 46
41.29 deg, intensity 55
44.94 deg, intensity 29

Cell: 7.343 7.343 14.652 Å, 90.00 90.00 90.00°
Space group I-42d (No. 122)
Unique sites:
K 0.138 0.250 0.125 x8
B 0.000 0.000 0.500 x4
P 0.152 0.750 0.625 x8
O 0.012 0.666 0.695 x16
O 0.108 0.229 0.921 x16